This entry pairs a crystal structure of RbSb6S8 with its simulated powder diffractogram. Radiation: Cu Ka. Structure: DFT lattice parameters and positions (PBE).

```
RbSb6S8
1.0
5.1149 2.9531 5.0920
-5.1149 2.9531 5.0920
0.0000 -5.9062 5.0920
Rb Sb S
1 6 8
Direct
0.0000 0.0000 0.0000 Rb
0.2168 0.6157 0.3742 Sb
0.3742 0.2168 0.6157 Sb
0.3843 0.6258 0.7832 Sb
0.6157 0.3742 0.2168 Sb
0.6258 0.7832 0.3843 Sb
0.7832 0.3843 0.6258 Sb
0.0970 0.3829 0.7423 S
0.2577 0.9030 0.6171 S
0.2961 0.2961 0.2961 S
0.3829 0.7423 0.0970 S
0.6171 0.2577 0.9030 S
0.7039 0.7039 0.7039 S
0.7423 0.0970 0.3829 S
0.9030 0.6171 0.2577 S
```

Most intense lines, 5 to 70 degrees two-theta, sorted by position:
two_theta, intensity
11.55, 91.1
15.32, 36.5
17.42, 31.7
27.27, 100.0
29.12, 74.6
30.94, 49.4
35.66, 38.5
39.43, 63.8
47.00, 25.3
50.55, 33.5